1.
Computed powder X-ray diffraction pattern of Na4ThMo4O16 for copper Kα, from DFT lattice parameters and positions (PBE+U).
Intensities are scaled so that the largest is 100.

Largest 10 diffraction maxima, sorted by position, 2θ from 10° to 90°:
2θ/deg, Rel. int.
10.57, 100.0
18.65, 32.2
23.29, 16.6
24.23, 29.4
28.50, 99.9
28.80, 17.5
34.70, 15.8
46.13, 26.4
51.63, 15.6
58.46, 17.5

Crystal structure
Cell lengths 10.182, 10.182, 10.182 Å; angles 110.82, 110.82, 106.81 degrees
Atoms (fractional coordinates):
Na 0.038 0.684 0.909
Na 0.184 0.775 0.646
Na 0.275 0.129 0.591
Na 0.371 0.462 0.146
Na 0.629 0.538 0.854
Na 0.725 0.871 0.409
Na 0.816 0.225 0.354
Na 0.962 0.316 0.091
Th 0.375 0.125 0.250
Th 0.625 0.875 0.750
Mo 0.061 0.040 0.838
Mo 0.277 0.439 0.480
Mo 0.297 0.777 0.338
Mo 0.460 0.797 0.020
Mo 0.540 0.203 0.980
Mo 0.703 0.223 0.662
Mo 0.723 0.561 0.520
Mo 0.939 0.960 0.162
O 0.066 0.351 0.372
O 0.106 0.242 0.947
O 0.135 0.973 0.982
O 0.149 0.021 0.715
O 0.156 0.079 0.302
O 0.194 0.566 0.215
O 0.206 0.841 0.447
O 0.258 0.706 0.865
O 0.276 0.854 0.198
O 0.341 0.394 0.635
O 0.348 0.365 0.339
O 0.354 0.656 0.577
O 0.421 0.224 0.077
O 0.473 0.991 0.839
O 0.479 0.694 0.128
O 0.491 0.152 0.518
O 0.509 0.848 0.482
O 0.521 0.306 0.872
O 0.527 0.009 0.161
O 0.579 0.776 0.923
O 0.646 0.344 0.423
O 0.652 0.635 0.661
O 0.659 0.606 0.365
O 0.724 0.146 0.802
O 0.742 0.294 0.135
O 0.794 0.159 0.553
O 0.806 0.434 0.785
O 0.844 0.921 0.698
O 0.851 0.979 0.285
O 0.865 0.027 0.018
O 0.894 0.758 0.053
O 0.934 0.649 0.628



2.
Computed powder X-ray diffraction pattern of NaV10O15 for copper Kα, from DFT lattice parameters and positions (PBE+U).
Intensities are scaled so that the largest is 100.

Largest 10 diffraction maxima, sorted by position, 2θ from 10° to 90°:
2θ/deg, Rel. int.
14.56, 100.0
29.85, 36.0
30.44, 58.3
32.68, 32.0
36.18, 35.8
39.69, 33.5
44.77, 30.9
45.04, 64.9
59.63, 32.5
62.24, 39.6

Crystal structure
Cell lengths 7.862, 7.862, 9.726 Å; angles 90.00, 90.00, 82.49 degrees
Atoms (fractional coordinates):
Na 0.000 0.000 0.000
Na 0.500 0.500 0.500
V 0.041 0.211 0.645
V 0.079 0.401 0.115
V 0.099 0.421 0.385
V 0.184 0.816 0.632
V 0.211 0.041 0.355
V 0.289 0.459 0.855
V 0.316 0.684 0.132
V 0.401 0.079 0.885
V 0.421 0.099 0.615
V 0.459 0.289 0.145
V 0.541 0.711 0.855
V 0.579 0.901 0.385
V 0.599 0.921 0.115
V 0.684 0.316 0.868
V 0.711 0.541 0.145
V 0.789 0.959 0.645
V 0.816 0.184 0.368
V 0.901 0.579 0.615
V 0.921 0.599 0.885
V 0.959 0.789 0.355
O 0.000 0.000 0.500
O 0.038 0.218 0.264
O 0.069 0.431 0.750
O 0.106 0.638 0.495
O 0.138 0.606 0.995
O 0.155 0.845 0.244
O 0.218 0.038 0.736
O 0.240 0.240 0.500
O 0.260 0.260 0.000
O 0.282 0.462 0.236
O 0.345 0.655 0.744
O 0.362 0.894 0.495
O 0.394 0.862 0.995
O 0.431 0.069 0.250
O 0.462 0.282 0.764
O 0.500 0.500 0.000
O 0.538 0.718 0.236
O 0.569 0.931 0.750
O 0.606 0.138 0.005
O 0.638 0.106 0.505
O 0.655 0.345 0.256
O 0.718 0.538 0.764
O 0.740 0.740 0.000
O 0.760 0.760 0.500
O 0.782 0.962 0.264
O 0.845 0.155 0.756
O 0.862 0.394 0.005
O 0.894 0.362 0.505
O 0.931 0.569 0.250
O 0.962 0.782 0.736



3.
Computed powder X-ray diffraction pattern of Na3LiFe4Si8O24 for copper Kα, from DFT lattice parameters and positions (PBE+U).
Intensities are scaled so that the largest is 100.

Largest 10 diffraction maxima, sorted by position, 2θ from 10° to 90°:
2θ/deg, Rel. int.
13.79, 42.6
19.77, 24.3
20.03, 19.4
29.52, 100.0
30.50, 50.0
34.92, 24.0
35.22, 37.2
36.13, 34.1
40.82, 20.3
42.13, 20.1

Crystal structure
Cell lengths 5.364, 8.865, 9.596 Å; angles 90.00, 103.89, 90.00 degrees
Atoms (fractional coordinates):
Na 0.000 0.000 0.000
Na 0.000 0.093 0.500
Na 0.500 0.500 0.500
Li 0.500 0.579 0.000
Fe 0.000 0.400 0.000
Fe 0.000 0.697 0.500
Fe 0.500 0.197 0.000
Fe 0.500 0.897 0.500
Si 0.199 0.388 0.710
Si 0.202 0.707 0.207
Si 0.301 0.885 0.792
Si 0.302 0.208 0.290
Si 0.698 0.208 0.710
Si 0.699 0.885 0.208
Si 0.798 0.707 0.793
Si 0.801 0.388 0.290
O 0.079 0.791 0.852
O 0.081 0.303 0.350
O 0.192 0.553 0.639
O 0.204 0.542 0.135
O 0.225 0.218 0.114
O 0.226 0.875 0.615
O 0.275 0.718 0.384
O 0.280 0.383 0.887
O 0.308 0.041 0.360
O 0.308 0.052 0.860
O 0.417 0.292 0.648
O 0.421 0.799 0.145
O 0.579 0.799 0.855
O 0.583 0.292 0.352
O 0.692 0.041 0.640
O 0.692 0.052 0.140
O 0.720 0.383 0.113
O 0.725 0.718 0.616
O 0.774 0.875 0.385
O 0.775 0.218 0.886
O 0.796 0.542 0.865
O 0.808 0.553 0.361
O 0.919 0.303 0.650
O 0.921 0.791 0.148



4.
Computed powder X-ray diffraction pattern of Co8As3O16 for copper Kα, from DFT lattice parameters and positions (PBE+U).
Intensities are scaled so that the largest is 100.

Largest 10 diffraction maxima, sorted by position, 2θ from 10° to 90°:
2θ/deg, Rel. int.
16.98, 51.4
23.16, 88.4
30.70, 51.1
34.36, 54.5
36.27, 84.6
37.45, 49.8
42.72, 100.0
43.36, 48.4
61.01, 64.0
63.95, 73.7

Crystal structure
Cell lengths 6.076, 6.076, 9.913 Å; angles 107.32, 107.32, 60.94 degrees
Atoms (fractional coordinates):
Co 0.000 0.500 0.000
Co 0.235 0.754 0.745
Co 0.246 0.765 0.255
Co 0.248 0.248 0.733
Co 0.500 0.000 0.000
Co 0.752 0.752 0.267
Co 0.754 0.235 0.745
Co 0.765 0.246 0.255
As 0.311 0.311 0.419
As 0.500 0.500 0.000
As 0.689 0.689 0.581
O 0.133 0.133 0.865
O 0.134 0.604 0.365
O 0.135 0.135 0.368
O 0.174 0.596 0.884
O 0.375 0.375 0.609
O 0.392 0.392 0.117
O 0.396 0.866 0.635
O 0.404 0.826 0.116
O 0.596 0.174 0.884
O 0.604 0.134 0.365
O 0.608 0.608 0.883
O 0.625 0.625 0.391
O 0.826 0.404 0.116
O 0.865 0.865 0.632
O 0.866 0.396 0.635
O 0.867 0.867 0.135